This entry pairs a crystal structure of Mg2GeO4 with its calculated XRD peak list. Radiation: Cu Kα, 1.54184 Å. Structure: a cell relaxed with GGA-PBE.
Intensities are scaled so that the largest is 100.

Largest 10 diffraction maxima, by intensity, 2θ = 5–70°:
35.7°, d = 2.518 Å, I 100; 30.3°, d = 2.952 Å, I 71; 63.0°, d = 1.476 Å, I 47; 57.3°, d = 1.607 Å, I 32; 53.8°, d = 1.704 Å, I 27; 18.4°, d = 4.821 Å, I 20; 47.5°, d = 1.916 Å, I 5; 66.2°, d = 1.411 Å, I 4; 43.3°, d = 2.087 Å, I 3; 37.3°, d = 2.410 Å, I 1

Structure:
Unit cell a=5.9043 b=5.9043 c=5.9043 alpha=60.00 beta=60.00 gamma=60.00
Element x y z (fractional)
Mg1 0.0000 0.0000 0.0000
Mg2 0.0000 0.0000 0.5000
Mg3 0.0000 0.5000 0.0000
Mg4 0.5000 0.0000 0.0000
Ge1 0.3750 0.3750 0.3750
Ge2 0.6250 0.6250 0.6250
O1 0.2502 0.2502 0.2502
O2 0.2502 0.2502 0.7495
O3 0.2502 0.7495 0.2502
O4 0.2505 0.7498 0.7498
O5 0.7495 0.2502 0.2502
O6 0.7498 0.2505 0.7498
O7 0.7498 0.7498 0.2505
O8 0.7498 0.7498 0.7498